Na2CeTl9: simulated X-ray diffraction stick pattern (Cu Kα (λ = 1.5418 Å)), based on DFT lattice parameters and positions (PBE).
Kinematic intensities with the Lorentz-polarization factor, no thermal factor.

Most intense lines, 2θ = 15–90°, sorted by position:
two_theta	d/Å	I/Imax
31.84	2.811	100.0
36.83	2.440	16.9
36.98	2.431	33.7
53.18	1.722	24.0
63.24	1.470	14.2
63.43	1.466	28.4
66.54	1.405	12.3
87.25	1.117	12.2

Atomic structure:
Cell: 4.862 4.862 14.641 Å, 90.00 90.00 90.00°
Fractional positions:
Na: 0.000 0.000 0.171
Na: 0.000 0.000 0.829
Ce: 0.000 0.000 0.500
Tl: 0.000 0.500 0.000
Tl: 0.000 0.500 0.334
Tl: 0.000 0.500 0.666
Tl: 0.500 0.000 0.000
Tl: 0.500 0.000 0.334
Tl: 0.500 0.000 0.666
Tl: 0.500 0.500 0.170
Tl: 0.500 0.500 0.500
Tl: 0.500 0.500 0.830

***

AcIn2B2O7: simulated X-ray diffraction stick pattern (Cu Kα (λ = 1.5418 Å)), based on DFT lattice parameters and positions (PBE).
Kinematic intensities with the Lorentz-polarization factor, no thermal factor.

Most intense lines, 2θ = 15–90°, sorted by position:
two_theta	d/Å	I/Imax
20.81	4.269	100.0
23.41	3.801	34.4
25.19	3.536	49.1
29.45	3.033	83.5
34.77	2.580	48.4
40.87	2.208	25.2
45.07	2.011	37.0
54.74	1.677	29.4

Atomic structure:
Cell: 10.085 10.085 10.085 Å, 29.64 29.64 29.64°
Fractional positions:
Ac: 0.000 0.000 0.000
In: 0.431 0.431 0.431
In: 0.569 0.569 0.569
B: 0.277 0.277 0.277
B: 0.723 0.723 0.723
O: 0.001 0.465 0.699
O: 0.301 0.535 0.999
O: 0.465 0.699 0.001
O: 0.500 0.500 0.500
O: 0.535 0.999 0.301
O: 0.699 0.001 0.465
O: 0.999 0.301 0.535

***

Ce2NdSe4: simulated X-ray diffraction stick pattern (Cu Kα (λ = 1.5418 Å)), based on DFT lattice parameters and positions (PBE).
Kinematic intensities with the Lorentz-polarization factor, no thermal factor.

Most intense lines, 2θ = 15–90°, sorted by position:
two_theta	d/Å	I/Imax
22.76	3.906	89.3
28.32	3.152	43.5
29.69	3.009	79.9
31.70	2.822	100.0
39.30	2.293	57.5
41.06	2.198	34.9
43.24	2.092	45.4
44.24	2.047	35.8

Atomic structure:
Cell: 7.301 7.301 14.115 Å, 90.00 90.00 147.43°
Fractional positions:
Ce: 0.133 0.867 0.569
Ce: 0.133 0.867 0.931
Ce: 0.867 0.133 0.069
Ce: 0.867 0.133 0.431
Nd: 0.377 0.623 0.750
Nd: 0.623 0.377 0.250
Se: 0.031 0.969 0.750
Se: 0.223 0.777 0.124
Se: 0.223 0.777 0.376
Se: 0.500 0.500 0.000
Se: 0.500 0.500 0.500
Se: 0.777 0.223 0.624
Se: 0.777 0.223 0.876
Se: 0.969 0.031 0.250

***

Repeat the third record exactly.
Ce2NdSe4: simulated X-ray diffraction stick pattern (Cu Kα (λ = 1.5418 Å)), based on DFT lattice parameters and positions (PBE).
Kinematic intensities with the Lorentz-polarization factor, no thermal factor.

Most intense lines, 2θ = 15–90°, sorted by position:
two_theta	d/Å	I/Imax
22.76	3.906	89.3
28.32	3.152	43.5
29.69	3.009	79.9
31.70	2.822	100.0
39.30	2.293	57.5
41.06	2.198	34.9
43.24	2.092	45.4
44.24	2.047	35.8

Atomic structure:
Cell: 7.301 7.301 14.115 Å, 90.00 90.00 147.43°
Fractional positions:
Ce: 0.133 0.867 0.569
Ce: 0.133 0.867 0.931
Ce: 0.867 0.133 0.069
Ce: 0.867 0.133 0.431
Nd: 0.377 0.623 0.750
Nd: 0.623 0.377 0.250
Se: 0.031 0.969 0.750
Se: 0.223 0.777 0.124
Se: 0.223 0.777 0.376
Se: 0.500 0.500 0.000
Se: 0.500 0.500 0.500
Se: 0.777 0.223 0.624
Se: 0.777 0.223 0.876
Se: 0.969 0.031 0.250